No. 1
Starting from a DFT-relaxed cell (PBE+U, the Materials Project), the XRD peak list of Li5Mn2CrO8 was computed for λ = 1.5418 Å (Cu Kα).

Main lines, sorted by position (5 to 70 degrees two-theta):
hkl 0 0 1, d = 4.800 Å, I 1000; hkl 1 1 0, d = 4.749 Å, I 158; hkl 1 1 -1, d = 4.139 Å, I 98; hkl 2 2 -1, d = 2.484 Å, I 336; hkl 2 2 -2, d = 2.069 Å, I 559; hkl 4 0 0, d = 2.059 Å, I 272; hkl 2 2 2, d = 1.462 Å, I 142; hkl 6 2 -2, d = 1.458 Å, I 146

Structure:
a = 10.111 Å, b = 5.812 Å, c = 5.895 Å
α = 90.00°, β = 125.45°, γ = 90.00°
Space group C2/m (No. 12)
Asymmetric unit:
Li (0.000, 0.000, 0.000)
Li (0.000, 0.000, 0.500)
Li (0.000, 0.500, 0.000)
Li (0.250, 0.250, 0.000)
Mn (0.250, 0.250, 0.500)
Cr (0.000, 0.500, 0.500)
O (0.016, 0.258, 0.275)
O (0.247, 0.500, 0.724)
O (0.250, 0.000, 0.722)


No. 2
Starting from a DFT-relaxed cell (PBE+U, the Materials Project), the XRD peak list of Li8MnCr3O12 was computed for λ = 1.5418 Å (Cu Kα).

Main lines, sorted by position (5 to 70 degrees two-theta):
hkl 1 0 1, d = 4.287 Å, I 964; hkl 1 0 -1, d = 4.267 Å, I 1000; hkl 0 0 2, d = 4.204 Å, I 193; hkl 1 1 2, d = 2.707 Å, I 177; hkl 1 -1 2, d = 2.697 Å, I 338; hkl 1 2 0, d = 2.225 Å, I 182; hkl 1 -2 1, d = 2.148 Å, I 177; hkl 2 2 0, d = 1.757 Å, I 314

Structure:
a = 4.964 Å, b = 4.978 Å, c = 8.408 Å
α = 89.68°, β = 89.69°, γ = 90.00°
Space group P1 (No. 1)
Asymmetric unit:
Li (0.000, 0.000, 0.000)
Li (0.000, 0.007, 0.310)
Li (0.000, 0.500, 0.477)
Li (0.499, 0.001, 0.977)
Li (0.500, 0.502, 0.811)
Li (0.501, 0.004, 0.667)
Li (0.502, 0.497, 0.501)
Li (0.998, 0.502, 0.165)
Mn (0.000, 0.503, 0.825)
Cr (0.494, 0.499, 0.146)
Cr (0.500, 0.992, 0.325)
Cr (0.999, 0.004, 0.647)
O (0.213, 0.829, 0.813)
O (0.221, 0.335, 0.664)
O (0.249, 0.358, 0.987)
O (0.252, 0.868, 0.490)
O (0.279, 0.828, 0.163)
O (0.285, 0.332, 0.312)
O (0.716, 0.675, 0.310)
O (0.717, 0.173, 0.167)
O (0.748, 0.645, 0.989)
O (0.756, 0.147, 0.491)
O (0.781, 0.671, 0.664)
O (0.786, 0.175, 0.813)